1.
Simulated XRD peak list of Y2Al3CuPt4 for a wavelength of 1.5418 Å, from a DFT-relaxed cell (GGA-PBE, Alexandria).
Lines closer than 0.1° are merged.

Top 10 peaks for 2θ = 15–90°, in order of falling intensity:
2θ/deg	I/Imax
35.17	100
44.53	54
32.15	53
24.17	43
45.53	41
27.22	31
32.80	29
46.79	28
51.31	23
75.93	21

Crystal structure
```
Y2Al3CuPt4
1.0
4.069 0.000 0.000
0.000 4.069 0.000
0.000 0.000 11.045
Y Al Cu Pt
2 3 1 4
Cartesian
0.000 2.035 2.679
2.035 0.000 8.366
0.000 0.000 0.000
0.000 2.035 6.979
2.035 0.000 4.067
2.035 2.035 0.000
0.000 0.000 5.523
0.000 2.035 9.447
2.035 0.000 1.598
2.035 2.035 5.523
```


2.
Simulated XRD peak list of Ba8GeAu5 for a wavelength of 1.5418 Å, from a DFT-relaxed cell (GGA-PBE, Alexandria).
Lines closer than 0.1° are merged.

Top 10 peaks for 2θ = 15–90°, in order of falling intensity:
2θ/deg	I/Imax
27.57	100
32.79	51
27.79	48
32.94	36
41.50	21
55.36	21
39.41	21
45.32	15
67.24	15
45.44	14

Crystal structure
```
Ba8GeAu5
1.0
-5.118 5.118 5.071
5.118 -5.118 5.071
5.118 5.118 -5.071
Ba Ge Au
8 1 5
Cartesian
6.998 0.633 0.525
4.489 3.210 -1.917
0.633 3.238 -0.525
0.629 1.908 3.153
1.908 -0.629 6.988
4.485 1.880 4.546
3.210 5.747 1.917
-1.880 4.485 5.595
0.000 5.118 2.535
0.000 0.000 0.000
2.582 -1.162 3.776
3.956 2.537 1.294
2.537 6.280 -1.294
1.162 2.582 6.365
```


3.
Simulated XRD peak list of KMnVTe4 for a wavelength of 1.5418 Å, from a DFT-relaxed cell (GGA-PBE, Alexandria).
Lines closer than 0.1° are merged.

Top 10 peaks for 2θ = 15–90°, in order of falling intensity:
2θ/deg	I/Imax
27.43	100
29.02	82
27.64	55
34.52	48
31.03	44
24.36	38
41.58	35
41.97	28
40.67	28
49.23	26

Crystal structure
```
KMnVTe4
1.0
6.807 0.000 0.000
0.000 7.403 0.000
-0.415 0.000 8.927
K Mn V Te
2 2 2 8
Cartesian
1.399 1.851 0.373
4.993 5.552 8.554
2.245 1.851 5.802
4.147 5.552 3.125
1.002 5.552 4.116
5.390 1.851 4.811
0.318 0.024 6.071
0.318 3.677 6.071
2.096 5.552 1.559
3.145 1.851 3.412
3.247 5.552 5.516
4.296 1.851 7.368
6.074 3.726 2.856
6.074 7.379 2.856
```


4.
Simulated XRD peak list of CePr3Y6 for a wavelength of 1.5418 Å, from a DFT-relaxed cell (GGA-PBE, Alexandria).
Lines closer than 0.1° are merged.

Top 10 peaks for 2θ = 15–90°, in order of falling intensity:
2θ/deg	I/Imax
30.96	100
29.15	43
17.73	26
32.50	23
41.55	22
55.07	19
49.20	16
43.04	14
53.96	14
37.26	14

Crystal structure
```
CePr3Y6
1.0
5.002 2.888 3.874
-5.002 2.888 3.874
0.000 -5.776 3.874
Ce Pr Y
1 3 6
Cartesian
0.000 0.000 0.000
0.000 0.000 2.794
0.000 0.000 5.813
0.000 0.000 8.831
-1.624 -2.964 3.881
-3.288 0.000 5.819
-1.754 2.888 3.881
1.644 -2.847 5.819
3.379 0.075 3.881
1.643 2.847 5.819
```


5.
Simulated XRD peak list of CrCuAs2 for a wavelength of 1.5418 Å, from a DFT-relaxed cell (GGA-PBE, Alexandria).
Lines closer than 0.1° are merged.

Top 10 peaks for 2θ = 15–90°, in order of falling intensity:
2θ/deg	I/Imax
35.32	100
46.52	45
37.57	42
58.06	22
47.49	21
51.14	16
54.00	14
67.64	14
74.72	10
77.57	9

Crystal structure
```
CrCuAs2
1.0
3.671 -1.698 0.000
3.671 1.698 0.000
-1.242 0.000 5.247
Cr Cu As
1 1 2
Cartesian
0.000 0.000 0.000
3.050 0.000 2.624
0.963 0.000 3.971
5.137 0.000 1.276
```


6.
Simulated XRD peak list of SrH4S3O12 for a wavelength of 1.5418 Å, from a DFT-relaxed cell (GGA-PBE, Alexandria).
Lines closer than 0.1° are merged.

Top 10 peaks for 2θ = 15–90°, in order of falling intensity:
2θ/deg	I/Imax
22.51	100
23.45	64
23.92	48
25.95	39
29.39	34
22.74	29
44.17	25
31.65	22
27.43	20
23.15	18

Crystal structure
```
SrH4S3O12
1.0
5.991 0.000 0.000
2.788 8.260 0.000
1.113 1.316 10.398
Sr H S O
2 8 6 24
Cartesian
1.229 2.748 4.557
8.663 6.828 5.841
3.856 9.096 9.040
3.236 5.168 1.414
4.022 2.647 6.795
3.485 1.326 0.993
6.407 8.250 9.405
5.870 6.929 3.603
6.656 4.408 8.984
6.036 0.480 1.358
1.428 1.978 0.697
5.566 9.080 7.019
4.156 4.974 3.391
5.736 4.602 7.007
4.326 0.496 3.379
8.464 7.598 9.701
2.021 5.769 0.474
1.295 2.750 1.914
0.998 0.499 0.983
4.329 8.811 6.272
2.881 4.665 4.073
5.337 8.988 8.486
3.035 2.337 6.672
4.436 6.421 3.609
2.902 1.777 0.285
4.005 4.701 1.862
4.633 5.463 6.623
3.166 1.271 3.772
6.726 8.305 6.626
5.259 4.113 3.775
5.887 4.875 8.536
6.990 7.799 10.113
5.456 3.155 6.789
6.857 7.239 3.726
4.555 0.588 1.912
7.011 4.911 6.325
5.563 0.765 4.126
8.894 9.077 9.415
8.597 6.826 8.484
7.871 3.807 9.924
```


7.
Simulated XRD peak list of TlHg2F8 for a wavelength of 1.5418 Å, from a DFT-relaxed cell (GGA-PBE, Alexandria).
Lines closer than 0.1° are merged.

Top 10 peaks for 2θ = 15–90°, in order of falling intensity:
2θ/deg	I/Imax
25.17	100
24.91	85
44.19	41
44.35	22
51.68	21
57.79	20
43.70	20
35.71	19
51.10	18
58.19	17

Crystal structure
```
TlHg2F8
1.0
7.075 0.000 0.000
-3.537 6.127 0.000
0.000 0.000 4.402
Tl Hg F
1 2 8
Cartesian
0.000 0.000 0.000
0.000 4.085 1.062
3.538 2.042 3.340
-1.919 5.181 1.132
0.010 1.875 1.132
1.629 0.929 3.270
0.000 4.085 3.265
3.538 2.042 1.137
1.909 5.199 1.132
3.527 4.252 3.270
5.456 0.946 3.270
```


8.
Simulated XRD peak list of NaSnHg14 for a wavelength of 1.5418 Å, from a DFT-relaxed cell (GGA-PBE, Alexandria).
Lines closer than 0.1° are merged.

Top 10 peaks for 2θ = 15–90°, in order of falling intensity:
2θ/deg	I/Imax
33.86	100
33.61	26
33.31	25
60.26	20
48.04	18
59.87	18
80.36	12
71.23	11
60.92	9
60.73	9

Crystal structure
```
NaSnHg14
1.0
3.703 -5.380 0.000
3.703 5.380 0.000
0.000 0.000 10.667
Na Sn Hg
1 1 14
Cartesian
0.000 0.000 0.000
3.703 0.000 0.000
0.000 0.000 5.333
1.851 2.690 0.000
1.851 2.690 5.333
3.703 2.892 2.660
3.703 2.892 8.007
1.990 0.000 2.675
1.990 0.000 7.992
1.851 -2.690 0.000
1.851 -2.690 5.333
3.703 0.000 5.333
5.416 0.000 2.675
5.416 0.000 7.992
3.703 -2.892 2.660
3.703 -2.892 8.007
```


9.
Simulated XRD peak list of Pm2ErSn6 for a wavelength of 1.5418 Å, from a DFT-relaxed cell (GGA-PBE, Alexandria).
Lines closer than 0.1° are merged.

Top 10 peaks for 2θ = 15–90°, in order of falling intensity:
2θ/deg	I/Imax
33.23	100
33.01	95
40.17	36
33.49	29
42.48	28
53.26	26
41.23	26
31.75	24
25.90	20
63.08	19

Crystal structure
```
Pm2ErSn6
1.0
8.806 -3.440 0.000
8.806 3.440 0.000
-1.142 0.000 4.342
Pm Er Sn
2 1 6
Cartesian
0.000 0.000 0.000
3.775 0.000 0.992
11.699 0.000 0.757
4.458 1.977 3.499
6.964 1.457 1.834
10.027 1.876 2.641
4.458 -1.977 3.499
6.964 -1.457 1.834
10.027 -1.876 2.641
```


10.
Simulated XRD peak list of AcInI for a wavelength of 1.5418 Å, from a DFT-relaxed cell (GGA-PBE, Alexandria).
Lines closer than 0.1° are merged.

Top 10 peaks for 2θ = 15–90°, in order of falling intensity:
2θ/deg	I/Imax
26.89	100
25.50	49
33.29	39
33.62	35
56.16	27
32.13	25
58.04	21
27.28	17
36.10	15
42.74	14

Crystal structure
```
AcInI
1.0
9.223 5.325 2.592
-9.223 5.325 2.592
0.000 -10.649 2.592
Ac In I
6 6 6
Cartesian
-0.520 -4.802 3.340
-4.419 -1.951 4.436
-3.899 2.852 3.340
3.899 -2.852 4.436
4.419 1.951 3.340
0.520 4.802 4.436
-4.041 -5.406 3.445
-6.702 0.797 4.331
-2.661 6.202 3.445
2.661 -6.202 4.331
6.702 -0.797 3.445
4.041 5.406 4.331
-1.875 -1.953 2.031
-0.753 2.600 2.031
2.629 -0.648 2.031
-2.629 0.648 5.745
0.753 -2.601 5.745
1.875 1.953 5.745
```